For Lu4FeCoN2, a cell relaxed with GGA-PBE gives the calculated powder X-ray diffraction pattern in this record (Cu Kα (weighted mean of Kα1 and Kα2)).
Neutral-atom scattering factors, no anomalous dispersion.

Peak list (10 most intense, 2θ from 10° to 90°, by angle)
Position (°2θ)	d/Å	I_rel
25.89	3.442	15
31.27	2.861	25
31.95	2.801	20
37.03	2.428	100
39.26	2.295	13
51.02	1.790	12
55.65	1.652	24
56.81	1.621	13
68.74	1.366	16
70.21	1.341	14

Structural model:
```
Lu4FeCoN2
1.0
3.3035 0.0000 0.0000
-1.6517 2.8609 0.0000
0.0000 0.0000 13.7674
Lu Fe Co N
4 1 1 2
Direct
0.0000 0.0000 0.1457
0.0000 0.0000 0.8543
0.6667 0.3333 0.3450
0.6667 0.3333 0.6550
0.0000 0.0000 0.5000
0.6667 0.3333 0.0000
0.3333 0.6667 0.2465
0.3333 0.6667 0.7535
```